Record 1
This entry pairs a crystal structure of Y6OsRh5 with its calculated XRD peak list. Radiation: λ = 1.5418 Å (Cu Kα). Structure: a PBE-relaxed structure.

Most intense lines, 2θ from 10° to 90°, in order of rising 2θ:
- hkl 0 2 0, 2θ 12.1, rel. 1
- hkl 1 3 0, 2θ 25.9, rel. 2
- hkl 2 0 0, 2θ 36.9, rel. 51
- hkl 1 3 2, 2θ 37.1, rel. 100
- hkl 2 6 0, 2θ 53.2, rel. 17
- hkl 0 0 4, 2θ 53.8, rel. 8
- hkl 3 3 2, 2θ 66.6, rel. 35
- hkl 2 0 4, 2θ 67.0, rel. 17
- hkl 4 0 0, 2θ 78.5, rel. 5
- hkl 2 6 4, 2θ 79.0, rel. 11

```
data_Y6OsRh5
_chemical_formula_sum 'Y12 Os2 Rh10'
_cell_length_a 4.873
_cell_length_b 14.619
_cell_length_c 6.815
_cell_angle_alpha 90.00
_cell_angle_beta 90.00
_cell_angle_gamma 90.00
_symmetry_space_group_name_H-M 'C m m m'
_symmetry_Int_Tables_number 65
_symmetry_space_group_name_Hall '-C 2 2'
loop_
_atom_site_label
_atom_site_fract_x
_atom_site_fract_y
_atom_site_fract_z
Y1 0.000 0.000 0.248
Y2 0.000 0.335 0.249
Os1 0.000 0.500 0.000
Rh1 0.000 0.167 0.000
Rh2 0.000 0.168 0.500
Rh3 0.000 0.500 0.500
```

=====

Record 2
This entry pairs a crystal structure of Tm6Mg5Zn with its calculated XRD peak list. Radiation: λ = 1.5418 Å (Cu Kα). Structure: a PBE-relaxed structure.

Most intense lines, 2θ from 10° to 90°, in order of rising 2θ:
- hkl 1 3 0, 2θ 23.9, rel. 55
- hkl 0 0 2, 2θ 24.1, rel. 27
- hkl 2 0 0, 2θ 34.1, rel. 50
- hkl 1 3 2, 2θ 34.2, rel. 100
- hkl 2 0 2, 2θ 42.2, rel. 25
- hkl 2 6 0, 2θ 49.0, rel. 18
- hkl 3 3 0, 2θ 55.3, rel. 17
- hkl 1 9 2, 2θ 61.0, rel. 18
- hkl 3 3 2, 2θ 61.1, rel. 19
- hkl 2 0 4, 2θ 61.3, rel. 18

```
data_Tm6Mg5Zn
_chemical_formula_sum 'Tm12 Mg10 Zn2'
_cell_length_a 5.255
_cell_length_b 15.800
_cell_length_c 7.394
_cell_angle_alpha 90.00
_cell_angle_beta 90.00
_cell_angle_gamma 90.00
_symmetry_space_group_name_H-M 'C m m m'
_symmetry_Int_Tables_number 65
_symmetry_space_group_name_Hall '-C 2 2'
loop_
_atom_site_label
_atom_site_fract_x
_atom_site_fract_y
_atom_site_fract_z
Tm1 0.000 0.000 0.239
Tm2 0.000 0.339 0.244
Mg1 0.000 0.169 0.500
Mg2 0.000 0.173 0.000
Mg3 0.000 0.500 0.500
Zn1 0.000 0.500 0.000
```

=====

Record 3
This entry pairs a crystal structure of ScAg3Hg with its calculated XRD peak list. Radiation: λ = 1.5418 Å (Cu Kα). Structure: a PBE-relaxed structure.

Most intense lines, 2θ from 10° to 90°, in order of rising 2θ:
- hkl 0 1 1, 2θ 18.4, rel. 30
- hkl 1 2 0, 2θ 23.9, rel. 42
- hkl 0 3 1, 2θ 35.9, rel. 28
- hkl 2 0 2, 2θ 37.0, rel. 100
- hkl 3 2 0, 2θ 38.7, rel. 69
- hkl 1 2 2, 2θ 38.8, rel. 77
- hkl 0 4 0, 2θ 43.7, rel. 15
- hkl 2 4 2, 2θ 58.6, rel. 18
- hkl 5 2 2, 2θ 67.8, rel. 22
- hkl 3 2 4, 2θ 76.1, rel. 17

```
data_ScAg3Hg
_chemical_formula_sum 'Sc4 Ag12 Hg4'
_cell_length_a 8.439
_cell_length_b 8.278
_cell_length_c 5.935
_cell_angle_alpha 90.00
_cell_angle_beta 90.00
_cell_angle_gamma 90.00
_symmetry_space_group_name_H-M 'A m a 2'
_symmetry_Int_Tables_number 40
loop_
_symmetry_equiv_pos_as_xyz
'x,y,z'
'-x,-y,z'
'-x+1/2,y,z'
'x+1/2,-y,z'
'x,y+1/2,z+1/2'
'-x,-y+1/2,z+1/2'
'-x+1/2,y+1/2,z+1/2'
'x+1/2,-y+1/2,z+1/2'
loop_
_atom_site_label
_atom_site_fract_x
_atom_site_fract_y
_atom_site_fract_z
Sc1 0.000 0.000 0.000
Ag1 0.067 0.151 0.534
Ag2 0.250 0.343 0.240
Hg1 0.250 0.388 0.784
```

=====

Record 4
This entry pairs a crystal structure of KMn4Cl8 with its calculated XRD peak list. Radiation: λ = 1.5418 Å (Cu Kα). Structure: a PBE-relaxed structure.

Most intense lines, 2θ from 10° to 90°, in order of rising 2θ:
- hkl 0 0 1, 2θ 11.5, rel. 100
- hkl 4 0 -1, 2θ 29.9, rel. 13
- hkl 2 2 -2, 2θ 30.6, rel. 28
- hkl 4 0 0, 2θ 36.1, rel. 19
- hkl 4 0 -4, 2θ 36.7, rel. 7
- hkl 2 2 -3, 2θ 36.9, rel. 35
- hkl 2 2 2, 2θ 45.4, rel. 10
- hkl 6 2 -3, 2θ 49.2, rel. 15
- hkl 0 4 0, 2θ 50.1, rel. 7
- hkl 2 2 3, 2θ 55.9, rel. 8

```
data_KMn4Cl8
_chemical_formula_sum 'K2 Mn8 Cl16'
_cell_length_a 12.913
_cell_length_b 7.287
_cell_length_c 9.937
_cell_angle_alpha 90.00
_cell_angle_beta 129.55
_cell_angle_gamma 90.00
_symmetry_space_group_name_H-M 'C 1 2/m 1'
_symmetry_Int_Tables_number 12
loop_
_symmetry_equiv_pos_as_xyz
'x,y,z'
'-x,-y,-z'
'-x,y,-z'
'x,-y,z'
'x+1/2,y+1/2,z'
'-x+1/2,-y+1/2,-z'
'-x+1/2,y+1/2,-z'
'x+1/2,-y+1/2,z'
loop_
_atom_site_label
_atom_site_fract_x
_atom_site_fract_y
_atom_site_fract_z
K1 0.000 0.000 0.000
Mn1 0.000 0.256 0.500
Mn2 0.241 0.500 0.488
Cl1 0.002 0.000 0.680
Cl2 0.010 0.500 0.690
Cl3 0.241 0.248 0.311
```

=====

Record 5
This entry pairs a crystal structure of CsIn4Au9 with its calculated XRD peak list. Radiation: λ = 1.5418 Å (Cu Kα). Structure: a PBE-relaxed structure.

Most intense lines, 2θ from 10° to 90°, in order of rising 2θ:
- hkl 1 1 0, 2θ 12.9, rel. 40
- hkl 2 2 2, 2θ 29.3, rel. 25
- hkl 3 1 2, 2θ 32.1, rel. 99
- hkl 2 0 4, 2θ 32.5, rel. 36
- hkl 4 1 1, 2θ 38.9, rel. 62
- hkl 3 2 3, 2θ 39.1, rel. 93
- hkl 3 3 0, 2θ 39.5, rel. 100
- hkl 4 0 2, 2θ 39.5, rel. 41
- hkl 0 0 6, 2θ 40.4, rel. 23
- hkl 6 1 3, 2θ 61.8, rel. 24

```
data_CsIn4Au9
_chemical_formula_sum 'Cs4 In16 Au36'
_cell_length_a 9.693
_cell_length_b 9.693
_cell_length_c 13.407
_cell_angle_alpha 90.00
_cell_angle_beta 90.00
_cell_angle_gamma 90.00
_symmetry_space_group_name_H-M 'I 4/m c m'
_symmetry_Int_Tables_number 140
_symmetry_space_group_name_Hall '-I 4 2c'
loop_
_atom_site_label
_atom_site_fract_x
_atom_site_fract_y
_atom_site_fract_z
Cs1 0.000 0.000 0.250
In1 0.189 0.311 0.120
Au1 0.000 0.500 0.000
Au2 0.042 0.202 0.500
Au3 0.118 0.382 0.317
```

=====

Record 6
This entry pairs a crystal structure of Rb5OF4 with its calculated XRD peak list. Radiation: λ = 1.5418 Å (Cu Kα). Structure: a PBE-relaxed structure.

Most intense lines, 2θ from 10° to 90°, in order of rising 2θ:
- hkl 2 1 1, 2θ 26.7, rel. 100
- hkl 1 3 0, 2θ 30.8, rel. 88
- hkl 0 0 2, 2θ 31.3, rel. 42
- hkl 4 2 0, 2θ 44.1, rel. 31
- hkl 1 3 2, 2θ 44.5, rel. 60
- hkl 5 0 1, 2θ 52.4, rel. 32
- hkl 2 1 3, 2θ 53.0, rel. 16
- hkl 4 2 2, 2θ 55.1, rel. 31
- hkl 5 0 3, 2θ 71.4, rel. 14
- hkl 7 1 2, 2θ 81.5, rel. 19

```
data_Rb5OF4
_chemical_formula_sum 'Rb10 O2 F8'
_cell_length_a 9.175
_cell_length_b 9.175
_cell_length_c 5.714
_cell_angle_alpha 90.00
_cell_angle_beta 90.00
_cell_angle_gamma 90.00
_symmetry_space_group_name_H-M 'I 4/m'
_symmetry_Int_Tables_number 87
_symmetry_space_group_name_Hall '-I 4'
loop_
_atom_site_label
_atom_site_fract_x
_atom_site_fract_y
_atom_site_fract_z
Rb1 0.000 0.000 0.000
Rb2 0.103 0.305 0.500
O1 0.000 0.000 0.500
F1 0.100 0.297 0.000
```

=====

Record 7
This entry pairs a crystal structure of Mg2PaSeO8 with its calculated XRD peak list. Radiation: λ = 1.5418 Å (Cu Kα). Structure: a PBE-relaxed structure.

Most intense lines, 2θ from 10° to 90°, in order of rising 2θ:
- hkl 0 0 1, 2θ 13.5, rel. 21
- hkl 1 1 0, 2θ 19.1, rel. 100
- hkl 1 1 1, 2θ 23.4, rel. 32
- hkl 0 2 0, 2θ 26.8, rel. 47
- hkl 0 0 2, 2θ 27.2, rel. 22
- hkl 2 0 0, 2θ 27.4, rel. 42
- hkl 1 1 2, 2θ 33.4, rel. 73
- hkl 0 2 2, 2θ 38.5, rel. 32
- hkl 1 3 2, 2θ 51.7, rel. 32
- hkl 3 1 2, 2θ 52.4, rel. 29

```
data_Mg2PaSeO8
_chemical_formula_sum 'Mg4 Pa2 Se2 O16'
_cell_length_a 6.510
_cell_length_b 6.663
_cell_length_c 6.550
_cell_angle_alpha 90.00
_cell_angle_beta 90.00
_cell_angle_gamma 90.00
_symmetry_space_group_name_H-M 'C m m m'
_symmetry_Int_Tables_number 65
_symmetry_space_group_name_Hall '-C 2 2'
loop_
_atom_site_label
_atom_site_fract_x
_atom_site_fract_y
_atom_site_fract_z
Mg1 0.000 0.000 0.233
Pa1 0.000 0.500 0.500
Se1 0.000 0.500 0.000
O1 0.000 0.313 0.206
O2 0.190 0.000 0.500
O3 0.225 0.000 0.000
```

=====

Record 8
This entry pairs a crystal structure of FeCu2Sn3S8 with its calculated XRD peak list. Radiation: λ = 1.5418 Å (Cu Kα). Structure: a PBE-relaxed structure.

Most intense lines, 2θ from 10° to 90°, in order of rising 2θ:
- hkl 0 0 3, 2θ 14.8, rel. 28
- hkl 1 0 4, 2θ 24.3, rel. 17
- hkl 0 2 1, 2θ 28.6, rel. 100
- hkl 0 2 4, 2θ 34.7, rel. 45
- hkl 0 0 9, 2θ 45.6, rel. 42
- hkl 2 2 0, 2θ 49.9, rel. 69
- hkl 4 0 1, 2θ 58.5, rel. 13
- hkl 2 2 9, 2θ 69.8, rel. 24
- hkl 0 4 8, 2θ 73.2, rel. 10
- hkl 2 2 12, 2θ 83.6, rel. 13

```
data_FeCu2Sn3S8
_chemical_formula_sum 'Fe3 Cu6 Sn9 S24'
_cell_length_a 7.3114
_cell_length_b 7.3114
_cell_length_c 17.9284
_cell_angle_alpha 90.00
_cell_angle_beta 90.00
_cell_angle_gamma 120.00
_symmetry_space_group_name_H-M 'R -3 m'
_symmetry_Int_Tables_number 166
_symmetry_space_group_name_Hall '-R 3 2"'
loop_
_atom_site_label
_atom_site_fract_x
_atom_site_fract_y
_atom_site_fract_z
Fe1 0.0000 0.0000 0.0000
Cu1 0.0000 0.0000 0.3796
Sn1 0.0000 0.5000 0.5000
S1 0.0000 0.0000 0.2518
S2 0.0314 0.5157 0.7425
```

=====

Record 9
This entry pairs a crystal structure of Sr3Ni3N5 with its calculated XRD peak list. Radiation: λ = 1.5418 Å (Cu Kα). Structure: a PBE-relaxed structure.

Most intense lines, 2θ from 10° to 90°, in order of rising 2θ:
- hkl 1 2 0, 2θ 30.0, rel. 21
- hkl 2 1 1, 2θ 30.4, rel. 33
- hkl -1 2 1, 2θ 31.3, rel. 36
- hkl 1 0 -2, 2θ 32.0, rel. 100
- hkl 1 1 3, 2θ 32.2, rel. 68
- hkl 0 2 -1, 2θ 32.6, rel. 50
- hkl 2 0 2, 2θ 33.5, rel. 37
- hkl 2 2 1, 2θ 36.2, rel. 28
- hkl 1 3 3, 2θ 41.7, rel. 22
- hkl 1 2 -3, 2θ 58.3, rel. 23

```
data_Sr3Ni3N5
_chemical_formula_sum 'Sr6 Ni6 N10'
_cell_length_a 6.088
_cell_length_b 7.378
_cell_length_c 8.439
_cell_angle_alpha 67.32
_cell_angle_beta 71.59
_cell_angle_gamma 81.29
_symmetry_space_group_name_H-M 'P -1'
_symmetry_Int_Tables_number 2
loop_
_symmetry_equiv_pos_as_xyz
'x,y,z'
'-x,-y,-z'
loop_
_atom_site_label
_atom_site_fract_x
_atom_site_fract_y
_atom_site_fract_z
Sr1 0.016 0.193 0.277
Sr2 0.300 0.628 0.366
Sr3 0.369 0.911 0.887
Ni1 0.102 0.307 0.820
Ni2 0.333 0.487 0.933
Ni3 0.403 0.164 0.475
N1 0.157 0.237 0.631
N2 0.163 0.574 0.104
N3 0.322 0.233 0.944
N4 0.333 0.970 0.410
N5 0.408 0.649 0.704
```

=====

Record 10
This entry pairs a crystal structure of Na2MgCr2S6 with its calculated XRD peak list. Radiation: λ = 1.5418 Å (Cu Kα). Structure: a PBE-relaxed structure.

Most intense lines, 2θ from 10° to 90°, in order of rising 2θ:
- hkl 0 0 1, 2θ 13.1, rel. 99
- hkl 1 1 -1, 2θ 19.1, rel. 17
- hkl 1 3 1, 2θ 34.1, rel. 100
- hkl 2 0 -2, 2θ 34.8, rel. 49
- hkl 1 3 2, 2θ 42.8, rel. 19
- hkl 2 0 2, 2θ 46.4, rel. 14
- hkl 1 3 -3, 2θ 46.7, rel. 30
- hkl 0 6 0, 2θ 51.6, rel. 14
- hkl 3 3 -1, 2θ 52.3, rel. 27
- hkl 2 6 -2, 2θ 63.7, rel. 14

```
data_Na2MgCr2S6
_chemical_formula_sum 'Na4 Mg2 Cr4 S12'
_cell_length_a 6.039
_cell_length_b 10.637
_cell_length_c 7.034
_cell_angle_alpha 90.00
_cell_angle_beta 105.78
_cell_angle_gamma 90.00
_symmetry_space_group_name_H-M 'C 1 2/m 1'
_symmetry_Int_Tables_number 12
loop_
_symmetry_equiv_pos_as_xyz
'x,y,z'
'-x,-y,-z'
'-x,y,-z'
'x,-y,z'
'x+1/2,y+1/2,z'
'-x+1/2,-y+1/2,-z'
'-x+1/2,y+1/2,-z'
'x+1/2,-y+1/2,z'
loop_
_atom_site_label
_atom_site_fract_x
_atom_site_fract_y
_atom_site_fract_z
Na1 0.000 0.160 0.000
Mg1 0.000 0.000 0.500
Cr1 0.000 0.335 0.500
S1 0.201 0.500 0.703
S2 0.242 0.182 0.699
```

=====

Record 11
This entry pairs a crystal structure of AcSc2RhO8 with its calculated XRD peak list. Radiation: λ = 1.5418 Å (Cu Kα). Structure: a PBE-relaxed structure.

Most intense lines, 2θ from 10° to 90°, in order of rising 2θ:
- hkl 1 0 0, 2θ 18.3, rel. 73
- hkl 1 0 -1, 2θ 25.9, rel. 80
- hkl 1 0 1, 2θ 26.0, rel. 58
- hkl 1 2 0, 2θ 31.8, rel. 100
- hkl 1 2 1, 2θ 37.0, rel. 48
- hkl 1 0 -2, 2θ 41.5, rel. 20
- hkl 2 2 -1, 2θ 49.6, rel. 62
- hkl 2 2 1, 2θ 49.7, rel. 20
- hkl 1 4 1, 2θ 60.1, rel. 27
- hkl 0 2 3, 2θ 63.5, rel. 24

```
data_AcSc2RhO8
_chemical_formula_sum 'Ac1 Sc2 Rh1 O8'
_cell_length_a 4.855
_cell_length_b 6.892
_cell_length_c 4.862
_cell_angle_alpha 90.00
_cell_angle_beta 90.16
_cell_angle_gamma 90.00
_symmetry_space_group_name_H-M 'P 1 2/m 1'
_symmetry_Int_Tables_number 10
loop_
_symmetry_equiv_pos_as_xyz
'x,y,z'
'-x,-y,-z'
'-x,y,-z'
'x,-y,z'
loop_
_atom_site_label
_atom_site_fract_x
_atom_site_fract_y
_atom_site_fract_z
Ac1 0.000 0.000 0.000
Sc1 0.500 0.269 0.500
Rh1 0.000 0.500 0.000
O1 0.199 0.298 0.196
O2 0.290 0.500 0.708
O3 0.337 0.000 0.661
```

=====

Record 12
This entry pairs a crystal structure of Rb2PrHg2Te4 with its calculated XRD peak list. Radiation: λ = 1.5418 Å (Cu Kα). Structure: a PBE-relaxed structure.

Most intense lines, 2θ from 10° to 90°, in order of rising 2θ:
- hkl 0 0 1, 2θ 10.9, rel. 86
- hkl 3 1 -1, 2θ 24.4, rel. 19
- hkl 4 0 -2, 2θ 25.4, rel. 20
- hkl 1 1 -2, 2θ 27.4, rel. 23
- hkl 3 1 -2, 2θ 29.0, rel. 100
- hkl 6 0 -1, 2θ 31.3, rel. 21
- hkl 6 0 0, 2θ 33.2, rel. 25
- hkl 0 2 0, 2θ 36.2, rel. 32
- hkl 3 1 2, 2θ 36.5, rel. 55
- hkl 3 1 3, 2θ 45.9, rel. 22

```
data_Rb2PrHg2Te4
_chemical_formula_sum 'Rb4 Pr2 Hg4 Te8'
_cell_length_a 17.130
_cell_length_b 4.963
_cell_length_c 8.632
_cell_angle_alpha 90.00
_cell_angle_beta 109.27
_cell_angle_gamma 90.00
_symmetry_space_group_name_H-M 'C 1 2/m 1'
_symmetry_Int_Tables_number 12
loop_
_symmetry_equiv_pos_as_xyz
'x,y,z'
'-x,-y,-z'
'-x,y,-z'
'x,-y,z'
'x+1/2,y+1/2,z'
'-x+1/2,-y+1/2,-z'
'-x+1/2,y+1/2,-z'
'x+1/2,-y+1/2,z'
loop_
_atom_site_label
_atom_site_fract_x
_atom_site_fract_y
_atom_site_fract_z
Rb1 0.133 0.000 0.082
Pr1 0.000 0.000 0.500
Hg1 0.168 0.500 0.495
Te1 0.001 0.500 0.251
Te2 0.200 0.000 0.686
```